Record 1
For TaAlZn, a cell relaxed with PBE gives the calculated powder XRD pattern in this record (CuKα).
Peak positions follow from Bragg's law for the DFT cell and can differ from measured ones.

Peak list (10 most intense, 5° ≤ 2θ ≤ 70°, low angle first)
20.3 deg, I 32; 29.6 deg, I 28; 35.3 deg, I 33; 35.7 deg, I 49; 38.3 deg, I 100; 38.5 deg, I 41; 41.6 deg, I 41; 42.0 deg, I 78; 42.7 deg, I 44; 66.1 deg, I 20

Structural model:
Cell lengths 8.341, 5.027, 5.027 Å; angles 60.67, 90.00, 90.00 degrees
Element x y z (fractional)
Ta: 0.184 0.000 0.000
Ta: 0.309 0.671 0.671
Ta: 0.691 0.671 0.671
Ta: 0.816 0.000 0.000
Al: 0.000 0.504 0.989
Al: 0.000 0.989 0.504
Al: 0.257 0.337 0.337
Al: 0.743 0.337 0.337
Zn: 0.000 0.502 0.502
Zn: 0.500 0.162 0.162
Zn: 0.500 0.162 0.681
Zn: 0.500 0.681 0.162


Record 2
For Tb2Al17, a cell relaxed with PBE gives the calculated powder XRD pattern in this record (CuKα).
Peak positions follow from Bragg's law for the DFT cell and can differ from measured ones.

Peak list (10 most intense, 5° ≤ 2θ ≤ 70°, low angle first)
14.7 deg, I 35; 18.7 deg, I 49; 27.5 deg, I 83; 30.5 deg, I 24; 32.7 deg, I 54; 37.5 deg, I 32; 38.0 deg, I 57; 38.7 deg, I 100; 40.7 deg, I 22; 55.3 deg, I 28

Structural model:
Cell lengths 9.476, 9.476, 8.877 Å; angles 90.00, 90.00, 120.00 degrees
Element x y z (fractional)
Tb: 0.000 0.000 0.250
Tb: 0.000 0.000 0.750
Tb: 0.333 0.667 0.250
Tb: 0.667 0.333 0.750
Al: 0.000 0.500 0.000
Al: 0.000 0.500 0.500
Al: 0.037 0.364 0.750
Al: 0.037 0.672 0.750
Al: 0.163 0.327 0.027
Al: 0.163 0.327 0.473
Al: 0.163 0.837 0.027
Al: 0.163 0.837 0.473
Al: 0.327 0.163 0.527
Al: 0.327 0.163 0.973
Al: 0.328 0.364 0.750
Al: 0.328 0.963 0.750
Al: 0.333 0.667 0.601
Al: 0.333 0.667 0.899
Al: 0.364 0.037 0.250
Al: 0.364 0.328 0.250
Al: 0.500 0.000 0.000
Al: 0.500 0.000 0.500
Al: 0.500 0.500 0.000
Al: 0.500 0.500 0.500
Al: 0.636 0.672 0.750
Al: 0.636 0.963 0.750
Al: 0.667 0.333 0.101
Al: 0.667 0.333 0.399
Al: 0.672 0.037 0.250
Al: 0.672 0.636 0.250
Al: 0.673 0.837 0.027
Al: 0.673 0.837 0.473
Al: 0.837 0.163 0.527
Al: 0.837 0.163 0.973
Al: 0.837 0.673 0.527
Al: 0.837 0.673 0.973
Al: 0.963 0.328 0.250
Al: 0.963 0.636 0.250


Record 3
For Tb2Al, a cell relaxed with PBE gives the calculated powder XRD pattern in this record (CuKα).
Peak positions follow from Bragg's law for the DFT cell and can differ from measured ones.

Peak list (10 most intense, 5° ≤ 2θ ≤ 70°, low angle first)
23.2 deg, I 31; 23.9 deg, I 59; 29.1 deg, I 43; 32.3 deg, I 37; 33.2 deg, I 52; 33.4 deg, I 100; 33.7 deg, I 100; 35.0 deg, I 60; 42.4 deg, I 26; 49.0 deg, I 35

Structural model:
Cell lengths 6.573, 5.134, 9.441 Å; angles 90.00, 90.00, 90.00 degrees
Element x y z (fractional)
Tb: 0.027 0.250 0.209
Tb: 0.193 0.250 0.572
Tb: 0.307 0.750 0.072
Tb: 0.473 0.750 0.709
Tb: 0.527 0.250 0.291
Tb: 0.693 0.250 0.928
Tb: 0.807 0.750 0.428
Tb: 0.973 0.750 0.791
Al: 0.213 0.250 0.896
Al: 0.287 0.750 0.396
Al: 0.713 0.250 0.604
Al: 0.787 0.750 0.104